Diffraction record for Ac8ZnSn5. The X-ray diffraction stick pattern is computed, not measured: it uses a cell relaxed with PBE and Cu Kα, 1.54184 Å.
Kinematic intensities with the Lorentz-polarization factor, no thermal factor.

Cell and atoms:
Cell lengths 8.782, 8.782, 8.782 Å; angles 109.82, 109.82, 108.78 degrees
Positions (direct):
Ac  0.016  0.631  0.752
Ac  0.234  0.490  0.107
Ac  0.369  0.121  0.385
Ac  0.383  0.126  0.893
Ac  0.510  0.617  0.744
Ac  0.736  0.984  0.615
Ac  0.874  0.766  0.256
Ac  0.879  0.264  0.248
Zn  0.000  0.000  0.000
Sn  0.124  0.248  0.627
Sn  0.250  0.750  0.500
Sn  0.503  0.876  0.125
Sn  0.621  0.497  0.373
Sn  0.752  0.379  0.875

Principal peaks in the range 15° ≤ 2θ ≤ 90°, by intensity:
- 2θ = 27.93°, 3.195 Å, I = 100.0
- 2θ = 33.12°, 2.705 Å, I = 62.4
- 2θ = 27.62°, 3.230 Å, I = 48.9
- 2θ = 32.92°, 2.721 Å, I = 38.7
- 2θ = 43.83°, 2.065 Å, I = 22.3
- 2θ = 45.80°, 1.981 Å, I = 20.2
- 2θ = 56.11°, 1.639 Å, I = 18.9
- 2θ = 45.61°, 1.989 Å, I = 14.7
- 2θ = 45.45°, 1.996 Å, I = 13.6
- 2θ = 57.71°, 1.597 Å, I = 13.5

---

Diffraction record for Cs4Ge3PbBr12. The X-ray diffraction stick pattern is computed, not measured: it uses a cell relaxed with PBE and Cu Kα, 1.54184 Å.
Kinematic intensities with the Lorentz-polarization factor, no thermal factor.

Cell and atoms:
Cell lengths 9.882, 9.882, 9.882 Å; angles 109.47, 109.47, 109.47 degrees
Positions (direct):
Cs  0.000  0.000  0.500
Cs  0.000  0.500  0.000
Cs  0.500  0.000  0.000
Cs  0.500  0.500  0.500
Ge  0.000  0.500  0.500
Ge  0.500  0.000  0.500
Ge  0.500  0.500  0.000
Pb  0.000  0.000  0.000
Br  0.000  0.260  0.260
Br  0.000  0.740  0.740
Br  0.250  0.500  0.750
Br  0.250  0.750  0.500
Br  0.260  0.000  0.260
Br  0.260  0.260  0.000
Br  0.500  0.250  0.750
Br  0.500  0.750  0.250
Br  0.740  0.000  0.740
Br  0.740  0.740  0.000
Br  0.750  0.250  0.500
Br  0.750  0.500  0.250

Principal peaks in the range 15° ≤ 2θ ≤ 90°, by intensity:
- 2θ = 31.36°, 2.853 Å, I = 100.0
- 2θ = 44.94°, 2.017 Å, I = 72.3
- 2θ = 27.07°, 3.294 Å, I = 60.9
- 2θ = 22.03°, 4.034 Å, I = 49.9
- 2θ = 74.35°, 1.276 Å, I = 32.0
- 2θ = 53.25°, 1.720 Å, I = 25.8
- 2θ = 55.82°, 1.647 Å, I = 25.0
- 2θ = 82.90°, 1.165 Å, I = 24.2
- 2θ = 38.66°, 2.329 Å, I = 23.3
- 2θ = 60.74°, 1.525 Å, I = 12.9